The following is a simulated powder X-ray diffraction pattern of PrInPt. It was derived from a DFT-relaxed cell (GGA-PBE, the Materials Project), using Cu Kα X-rays.

Top 6 peaks for 2θ = 10–90°, in order of rising 2θ:
2θ = 31.70°, rel. 73; 2θ = 34.46°, rel. 100; 2θ = 35.28°, rel. 33; 2θ = 40.20°, rel. 45; 2θ = 41.77°, rel. 44; 2θ = 64.48°, rel. 33

Structure:
Unit cell a=7.7711 b=7.7711 c=4.1064 alpha=90.00 beta=90.00 gamma=120.00
Space group P-62m (No. 189)
Symmetry-distinct sites (fractional):
Pr  0.0000  0.5916  0.0000 x3
In  0.0000  0.2511  0.5000 x3
Pt  0.0000  0.0000  0.0000 x1
Pt  0.3333  0.6667  0.5000 x2